Computed powder diffraction line list of Ac8CoOs3Br3 for Cu Kα X-rays, from a DFT-relaxed cell (GGA-PBE, Alexandria).

Atomic structure:
Lattice parameters (Å, degrees): 8.660 8.660 9.614 116.85 116.85 59.95
Sites, in units of the cell vectors:
Ac: 0.229 0.229 0.690
Ac: 0.229 0.732 0.690
Ac: 0.268 0.268 0.305
Ac: 0.268 0.771 0.310
Ac: 0.732 0.229 0.690
Ac: 0.732 0.732 0.695
Ac: 0.771 0.268 0.310
Ac: 0.771 0.771 0.310
Co: 0.000 0.000 0.500
Os: 0.000 0.500 0.500
Os: 0.500 0.000 0.500
Os: 0.500 0.500 0.500
Br: 0.000 0.000 0.000
Br: 0.000 0.500 0.000
Br: 0.500 0.000 0.000

Principal peaks in the range 10 to 90 degrees two-theta, low angle first:
2θ 10.78, I 50
2θ 27.87, I 100
2θ 34.99, I 28
2θ 37.83, I 26
2θ 41.73, I 41
2θ 50.93, I 19